# 1
For TaBr5N2, a DFT-relaxed cell (GGA-PBE, the Materials Project) gives the simulated X-ray diffraction stick pattern in this record (Cu Kα (weighted mean of Kα1 and Kα2)).
Kinematic intensities with the Lorentz-polarization factor, no thermal factor.

Peak list (8 most intense, 2θ = 15–90°, by angle)
2θ (°)  d/Å  intensity
16.7  5.302  97
17.8  4.989  100
25.3  3.525  37
26.8  3.328  54
29.8  2.998  44
33.8  2.651  76
37.9  2.371  49
43.7  2.074  38

Structure:
Cell lengths 7.498, 7.498, 19.966 Å; angles 90.00, 90.00, 90.00 degrees
Space group P4/mnc (No. 128)
Unique sites:
Ta: 0.000 0.000 0.095 [4 per cell]
Br: 0.000 0.000 0.233 [4 per cell]
Br: 0.184 0.281 0.107 [16 per cell]
N: 0.000 0.000 0.000 [2 per cell]
N: 0.000 0.000 0.500 [2 per cell]
N: 0.000 0.500 0.250 [4 per cell]

# 2
For TcBr6N2, a DFT-relaxed cell (GGA-PBE, the Materials Project) gives the simulated X-ray diffraction stick pattern in this record (Cu Kα (weighted mean of Kα1 and Kα2)).
Kinematic intensities with the Lorentz-polarization factor, no thermal factor.

Peak list (8 most intense, 2θ = 15–90°, by angle)
2θ (°)  d/Å  intensity
17.2  5.158  87
30.0  2.978  91
34.8  2.579  100
39.0  2.307  42
50.0  1.824  67
59.4  1.555  34
62.4  1.489  22
83.9  1.153  28

Structure:
Cell lengths 10.316, 10.316, 10.316 Å; angles 90.00, 90.00, 90.00 degrees
Space group Fm-3m (No. 225)
Unique sites:
Tc: 0.000 0.000 0.000 [4 per cell]
Br: 0.000 0.000 0.239 [24 per cell]
N: 0.250 0.250 0.250 [8 per cell]

# 3
For TeBr6N2, a DFT-relaxed cell (GGA-PBE, the Materials Project) gives the simulated X-ray diffraction stick pattern in this record (Cu Kα (weighted mean of Kα1 and Kα2)).
Kinematic intensities with the Lorentz-polarization factor, no thermal factor.

Peak list (8 most intense, 2θ = 15–90°, by angle)
2θ (°)  d/Å  intensity
16.4  5.405  94
28.6  3.121  76
33.1  2.703  100
37.2  2.417  47
47.6  1.911  69
50.7  1.802  24
56.5  1.630  29
79.3  1.209  28

Structure:
Cell lengths 10.810, 10.810, 10.810 Å; angles 90.00, 90.00, 90.00 degrees
Space group Fm-3m (No. 225)
Unique sites:
Te: 0.000 0.000 0.000 [4 per cell]
Br: 0.000 0.000 0.239 [24 per cell]
N: 0.250 0.250 0.250 [8 per cell]